Calculated XRD peak list of SmB2Ir3 for Cu Kα, 1.54184 Å, from a cell relaxed with GGA-PBE.

Largest 10 diffraction maxima, in order of falling intensity, 10° ≤ 2θ ≤ 90°:
index  Position (°2θ)  d [Å]  I (rel.)
2 0 0  37.66  2.389  100
1 0 1  34.06  2.632  57
2 0 1  47.77  1.904  37
1 1 1  43.59  2.076  33
2 0 2  71.72  1.316  31
2 1 1  58.94  1.567  24
0 0 1  28.30  3.154  22
2 2 0  67.98  1.379  19
4 0 0  80.41  1.194  11
3 1 1  78.27  1.222  11

a b c (Å): 5.5161 5.5161 3.1537
angles (deg): 90.00 90.00 120.00
Space group P6/mmm (No. 191)
Asymmetric unit:
Sm (0.0000, 0.0000, 0.0000) [1 per cell]
B (0.3333, 0.6667, 0.0000) [2 per cell]
Ir (0.0000, 0.5000, 0.5000) [3 per cell]

***

Calculated XRD peak list of Sn4B3Ir7 for Cu Kα, 1.54184 Å, from a cell relaxed with GGA-PBE.

Largest 10 diffraction maxima, in order of falling intensity, 10° ≤ 2θ ≤ 90°:
index  Position (°2θ)  d [Å]  I (rel.)
1 2 2  43.34  2.088  100
1 3 0  40.00  2.254  63
2 2 0  38.37  2.346  49
1 2 0  29.07  3.072  49
5 1 2  72.82  1.299  39
1 2 1  33.14  2.704  35
1 3 2  51.73  1.767  32
1 0 2  33.35  2.686  31
2 2 2  50.41  1.810  23
0 0 2  31.43  2.846  20

a b c (Å): 9.3844 9.3844 5.6929
angles (deg): 90.00 90.00 120.00
Space group P6_3/m (No. 176)
Asymmetric unit:
Sn (0.0917, 0.5895, 0.2500) [6 per cell]
Sn (0.3333, 0.6667, 0.7500) [2 per cell]
B (0.0372, 0.8277, 0.7500) [6 per cell]
Ir (0.0000, 0.0000, 0.0000) [2 per cell]
Ir (0.1236, 0.3541, 0.5010) [12 per cell]

***

Calculated XRD peak list of Sn5B2Ir6 for Cu Kα, 1.54184 Å, from a cell relaxed with GGA-PBE.

Largest 10 diffraction maxima, in order of falling intensity, 10° ≤ 2θ ≤ 90°:
index  Position (°2θ)  d [Å]  I (rel.)
1 1 2  41.78  2.162  100
2 1 0  41.07  2.198  89
1 1 0  26.55  3.357  45
1 1 1  30.98  2.887  40
1 0 2  35.31  2.542  38
2 1 2  52.76  1.735  31
4 0 2  73.22  1.293  26
2 1 4  80.87  1.189  26
3 2 2  79.44  1.206  20
3 0 0  46.87  1.938  20

a b c (Å): 6.7146 6.7146 5.6522
angles (deg): 90.00 90.00 120.00
Space group P-62m (No. 189)
Asymmetric unit:
Sn (0.0000, 0.5959, 0.0000) [3 per cell]
Sn (0.3333, 0.6667, 0.5000) [2 per cell]
B (0.0000, 0.0000, 0.0000) [1 per cell]
B (0.0000, 0.0000, 0.5000) [1 per cell]
Ir (0.0000, 0.2522, 0.2545) [6 per cell]

***

Calculated XRD peak list of SrB2Ir2 for Cu Kα, 1.54184 Å, from a cell relaxed with GGA-PBE.

Largest 10 diffraction maxima, in order of falling intensity, 10° ≤ 2θ ≤ 90°:
index  Position (°2θ)  d [Å]  I (rel.)
2 2 0  34.98  2.565  100
1 1 3  30.35  2.945  98
1 1 1  19.16  4.633  67
1 3 3  40.81  2.211  50
0 4 0  38.01  2.367  41
2 2 4  49.01  1.859  33
3 1 3  52.58  1.741  22
1 1 5  45.61  1.989  20
0 0 4  33.21  2.697  20
2 2 8  80.46  1.194  17

a b c (Å): 6.1031 9.4686 10.7892
angles (deg): 90.00 90.00 90.00
Space group Fddd (No. 70, origin choice 2)
Asymmetric unit:
Sr (0.1250, 0.1250, 0.1250) [8 per cell]
B (0.1250, 0.2990, 0.6250) [16 per cell]
Ir (0.1250, 0.1250, 0.4941) [16 per cell]